# 1
Calculated X-ray powder pattern of Li4Mn5Fe3O16 for Cu Kα (λ = 1.5418 Å), from a DFT-relaxed cell (PBE+U, the Materials Project).

Peak list (10 most intense, 2θ from 10° to 90°, sorted by position)
two_theta	I (rel.)
18.7	100
19.5	29
19.7	58
19.9	82
35.9	29
36.2	45
36.6	44
45.4	35
45.9	33
63.0	44

Cell and atoms:
a = 10.2348 Å, b = 5.8866 Å, c = 9.4985 Å
α = 90.00°, β = 91.28°, γ = 90.00°
Space group Cm (No. 8)
Unique sites:
Li 0.0000 0.0000 0.0000 [2 per cell]
Li 0.0019 0.0000 0.5038 [2 per cell]
Li 0.1626 0.5000 0.9037 [2 per cell]
Li 0.3299 0.0000 0.4052 [2 per cell]
Mn 0.0830 0.2545 0.2212 [4 per cell]
Mn 0.1692 0.5000 0.4932 [2 per cell]
Mn 0.1725 0.0000 0.7212 [2 per cell]
Mn 0.3341 0.0000 0.9923 [2 per cell]
Fe 0.3301 0.5000 0.2202 [2 per cell]
Fe 0.4179 0.2439 0.7202 [4 per cell]
O 0.0050 0.0000 0.3154 [2 per cell]
O 0.0090 0.0000 0.8136 [2 per cell]
O 0.0189 0.5000 0.3491 [2 per cell]
O 0.0875 0.2484 0.6074 [4 per cell]
O 0.1589 0.5000 0.1155 [2 per cell]
O 0.1630 0.0000 0.1124 [2 per cell]
O 0.2349 0.2791 0.3502 [4 per cell]
O 0.2565 0.2158 0.8508 [4 per cell]
O 0.3265 0.0000 0.6117 [2 per cell]
O 0.3341 0.5000 0.6023 [2 per cell]
O 0.4177 0.2523 0.1076 [4 per cell]
O 0.4811 0.0000 0.8521 [2 per cell]

# 2
Calculated X-ray powder pattern of Li4MnFe5O12 for Cu Kα (λ = 1.5418 Å), from a DFT-relaxed cell (PBE+U, the Materials Project).

Peak list (10 most intense, 2θ from 10° to 90°, sorted by position)
two_theta	I (rel.)
17.4	100
36.1	15
36.2	15
39.1	8
39.5	12
44.1	17
44.4	16
57.5	9
57.9	9
63.4	8

Cell and atoms:
a = 5.1314 Å, b = 8.8588 Å, c = 10.2229 Å
α = 90.00°, β = 90.68°, γ = 90.00°
Space group C2 (No. 5)
Unique sites:
Li 0.1018 0.0000 0.2486 [4 per cell]
Li 0.1058 0.4929 0.2509 [4 per cell]
Mn 0.0000 0.7501 0.5000 [2 per cell]
Fe 0.0000 0.0883 0.5000 [2 per cell]
Fe 0.0000 0.2523 0.0000 [2 per cell]
Fe 0.0000 0.4135 0.5000 [2 per cell]
Fe 0.0000 0.5889 0.0000 [2 per cell]
Fe 0.0000 0.9160 0.0000 [2 per cell]
O 0.1512 0.0715 0.8951 [4 per cell]
O 0.1558 0.5853 0.6075 [4 per cell]
O 0.1563 0.9157 0.6066 [4 per cell]
O 0.1626 0.7615 0.9019 [4 per cell]
O 0.1722 0.4237 0.8950 [4 per cell]
O 0.1855 0.2503 0.5992 [4 per cell]

# 3
Calculated X-ray powder pattern of Li3Mn5FeO12 for Cu Kα (λ = 1.5418 Å), from a DFT-relaxed cell (PBE+U, the Materials Project).

Peak list (10 most intense, 2θ from 10° to 90°, sorted by position)
two_theta	I (rel.)
18.2	100
18.4	78
34.8	18
35.7	26
36.0	27
41.9	35
43.7	31
43.8	31
62.1	20
62.2	20

Cell and atoms:
a = 8.2956 Å, b = 8.6278 Å, c = 13.0096 Å
α = 90.00°, β = 107.58°, γ = 90.00°
Space group C2/c (No. 15)
Unique sites:
Li 0.0000 0.1153 0.2500 [4 per cell]
Li 0.1648 0.3821 0.0827 [8 per cell]
Mn 0.0848 0.2480 0.6682 [8 per cell]
Mn 0.1655 0.4995 0.3329 [8 per cell]
Mn 0.2500 0.2500 0.5000 [4 per cell]
Fe 0.0000 0.0000 0.0000 [4 per cell]
O 0.0190 0.2404 0.5090 [8 per cell]
O 0.0751 0.4754 0.6744 [8 per cell]
O 0.0954 0.0229 0.6616 [8 per cell]
O 0.1440 0.2470 0.8232 [8 per cell]
O 0.1889 0.2460 0.3444 [8 per cell]
O 0.2483 0.0234 0.5094 [8 per cell]

# 4
Calculated X-ray powder pattern of Li5Mn8Fe11O32 for Cu Kα (λ = 1.5418 Å), from a DFT-relaxed cell (PBE+U, the Materials Project).

Peak list (10 most intense, 2θ from 10° to 90°, sorted by position)
two_theta	I (rel.)
18.1	100
34.7	42
34.8	44
35.6	41
42.1	51
43.5	23
55.7	15
55.8	15
57.4	14
62.1	47

Cell and atoms:
a = 10.3147 Å, b = 6.0526 Å, c = 20.0615 Å
α = 90.00°, β = 101.65°, γ = 90.00°
Space group Cm (No. 8)
Unique sites:
Li 0.0000 0.0000 0.0000 [2 per cell]
Li 0.0043 0.5000 0.4923 [2 per cell]
Li 0.0743 0.0000 0.1837 [2 per cell]
Li 0.2537 0.0000 0.7393 [2 per cell]
Li 0.3254 0.5000 0.4387 [2 per cell]
Mn 0.0375 0.5000 0.0917 [2 per cell]
Mn 0.0392 0.0000 0.5873 [2 per cell]
Mn 0.1596 0.5000 0.9684 [2 per cell]
Mn 0.1653 0.0000 0.4656 [2 per cell]
Mn 0.2834 0.0000 0.3429 [2 per cell]
Mn 0.2892 0.5000 0.8398 [2 per cell]
Mn 0.4110 0.5000 0.7143 [2 per cell]
Mn 0.4121 0.0000 0.2155 [2 per cell]
Fe 0.0345 0.2429 0.8377 [4 per cell]
Fe 0.0345 0.2477 0.3437 [4 per cell]
Fe 0.0692 0.5000 0.6849 [2 per cell]
Fe 0.2522 0.5000 0.2508 [2 per cell]
Fe 0.2861 0.2508 0.0920 [4 per cell]
Fe 0.2876 0.2482 0.5869 [4 per cell]
Fe 0.3209 0.0000 0.9348 [2 per cell]
O 0.0780 0.5000 0.2820 [2 per cell]
O 0.0822 0.0000 0.7777 [2 per cell]
O 0.1003 0.2779 0.0356 [4 per cell]
O 0.1028 0.0000 0.2889 [2 per cell]
O 0.1065 0.5000 0.7903 [2 per cell]
O 0.1115 0.2230 0.5228 [4 per cell]
O 0.2178 0.0000 0.6397 [2 per cell]
O 0.2182 0.5000 0.1460 [2 per cell]
O 0.2193 0.2563 0.9019 [4 per cell]
O 0.2208 0.2153 0.4018 [4 per cell]
O 0.2406 0.5000 0.6498 [2 per cell]
O 0.2458 0.0000 0.1513 [2 per cell]
O 0.3261 0.5000 0.0300 [2 per cell]
O 0.3365 0.0000 0.5283 [2 per cell]
O 0.3474 0.2210 0.2849 [4 per cell]
O 0.3538 0.0000 0.0335 [2 per cell]
O 0.3591 0.2772 0.7746 [4 per cell]
O 0.3588 0.5000 0.5381 [2 per cell]
O 0.4648 0.0000 0.3933 [2 per cell]
O 0.4667 0.2789 0.6546 [4 per cell]
O 0.4674 0.5000 0.8924 [2 per cell]
O 0.4715 0.2218 0.1466 [4 per cell]
O 0.4862 0.0000 0.9017 [2 per cell]
O 0.4937 0.5000 0.4035 [2 per cell]